Record 1
Structure and theoretical powder diffraction line list of SiAu3 (a structure optimized by DFT (PBE); λ = 1.5418 Å (Cu Kα)).
No peak broadening, texture or thermal motion is included.

Crystal structure
```
data_SiAu3
_cell_length_a 6.0377
_cell_length_b 6.0377
_cell_length_c 4.8971
_cell_angle_alpha 90.00
_cell_angle_beta 90.00
_cell_angle_gamma 120.00
_symmetry_space_group_name_H-M 'P 63'
_symmetry_Int_Tables_number 173
loop_
_symmetry_equiv_pos_as_xyz
'x,y,z'
'x-y,x,z+1/2'
'-y,x-y,z'
'-x,-y,z+1/2'
'-x+y,-x,z'
'y,-x+y,z+1/2'
loop_
_atom_site_label
_atom_site_type_symbol
_atom_site_fract_x
_atom_site_fract_y
_atom_site_fract_z
Si1 Si 0.3333 0.6667 0.0000
Au1 Au 0.0044 0.2844 0.7414
```

Main lines, by angle (2θ from 15° to 90°):
two_theta, d (Å), Rel. int., (hkl)
16.96, 5.229, 14, 1 0 0
29.59, 3.019, 19, 1 1 0
34.91, 2.570, 100, 1 1 1
36.70, 2.449, 22, 0 0 2
47.83, 1.902, 16, 1 1 2
49.75, 1.833, 27, 2 1 1
52.50, 1.743, 15, 3 0 0
64.94, 1.436, 17, 1 1 3
65.77, 1.420, 12, 3 0 2
75.55, 1.259, 8, 2 1 3
82.85, 1.165, 10, 3 2 1
83.91, 1.153, 9, 4 0 2

Record 2
Structure and theoretical powder diffraction line list of Ca8Tl (a structure optimized by DFT (PBE); λ = 1.5418 Å (Cu Kα)).
No peak broadening, texture or thermal motion is included.

Crystal structure
```
data_Ca8Tl
_cell_length_a 11.246
_cell_length_b 11.246
_cell_length_c 5.395
_cell_angle_alpha 90.00
_cell_angle_beta 90.00
_cell_angle_gamma 90.00
_symmetry_space_group_name_H-M 'I 4/m m m'
_symmetry_Int_Tables_number 139
_symmetry_space_group_name_Hall '-I 4 2'
loop_
_atom_site_label
_atom_site_type_symbol
_atom_site_fract_x
_atom_site_fract_y
_atom_site_fract_z
Ca1 Ca 0.000 0.324 0.000
Ca2 Ca 0.157 0.157 0.500
Tl1 Tl 0.000 0.000 0.000
```

Main lines, by angle (2θ from 15° to 90°):
two_theta, d (Å), Rel. int., (hkl)
15.76, 5.623, 19, 2 0 0
18.24, 4.864, 23, 1 0 1
24.19, 3.679, 23, 2 1 1
25.04, 3.556, 11, 3 1 0
29.01, 3.078, 100, 3 0 1
33.20, 2.699, 31, 0 0 2
33.82, 2.651, 32, 3 3 0
36.94, 2.434, 20, 4 1 1
48.13, 1.891, 23, 3 3 2
56.78, 1.621, 14, 3 0 3
57.57, 1.601, 28, 6 3 1
60.11, 1.539, 12, 6 0 2

Record 3
Structure and theoretical powder diffraction line list of BaPrInS4 (a structure optimized by DFT (PBE); λ = 1.5418 Å (Cu Kα)).
No peak broadening, texture or thermal motion is included.

Crystal structure
```
data_BaPrInS4
_cell_length_a 6.965
_cell_length_b 6.967
_cell_length_c 8.600
_cell_angle_alpha 90.00
_cell_angle_beta 107.22
_cell_angle_gamma 90.00
_symmetry_space_group_name_H-M 'P 1 21/m 1'
_symmetry_Int_Tables_number 11
loop_
_symmetry_equiv_pos_as_xyz
'x,y,z'
'-x,-y,-z'
'-x,y+1/2,-z'
'x,-y+1/2,z'
loop_
_atom_site_label
_atom_site_type_symbol
_atom_site_fract_x
_atom_site_fract_y
_atom_site_fract_z
Ba1 Ba 0.249 0.250 0.058
Pr1 Pr 0.215 0.250 0.553
In1 In 0.245 0.750 0.324
S1 S 0.009 0.511 0.724
S2 S 0.450 0.750 0.140
S3 S 0.472 0.750 0.600
```

Main lines, by angle (2θ from 15° to 90°):
two_theta, d (Å), Rel. int., (hkl)
16.69, 5.313, 39, 0 1 1
18.44, 4.811, 50, 1 1 0
25.17, 3.538, 53, 0 1 2
25.32, 3.518, 46, 1 1 -2
25.57, 3.483, 96, 0 2 0
26.80, 3.326, 34, 2 0 0
28.78, 3.102, 31, 2 1 -1
31.52, 2.838, 95, 1 1 2
31.88, 2.807, 100, 2 1 -2
37.38, 2.406, 68, 2 2 0
42.03, 2.150, 40, 1 0 -4
49.85, 1.829, 30, 1 2 -4

Record 4
Structure and theoretical powder diffraction line list of Ta3Fe20B6 (a structure optimized by DFT (PBE); λ = 1.5418 Å (Cu Kα)).
No peak broadening, texture or thermal motion is included.

Crystal structure
```
data_Ta3Fe20B6
_cell_length_a 10.684
_cell_length_b 10.684
_cell_length_c 10.684
_cell_angle_alpha 90.00
_cell_angle_beta 90.00
_cell_angle_gamma 90.00
_symmetry_space_group_name_H-M 'F m -3 m'
_symmetry_Int_Tables_number 225
_symmetry_space_group_name_Hall '-F 4 2 3'
loop_
_atom_site_label
_atom_site_type_symbol
_atom_site_fract_x
_atom_site_fract_y
_atom_site_fract_z
Ta1 Ta 0.000 0.000 0.000
Ta2 Ta 0.250 0.250 0.250
Fe1 Fe 0.000 0.173 0.173
Fe2 Fe 0.116 0.116 0.384
B1 B 0.000 0.000 0.271
```

Main lines, by angle (2θ from 15° to 90°):
two_theta, d (Å), Rel. int., (hkl)
23.55, 3.777, 42, 2 2 0
27.69, 3.221, 14, 3 1 1
37.65, 2.389, 36, 4 2 0
41.40, 2.181, 84, 4 2 2
44.04, 2.056, 100, 3 3 3
48.18, 1.889, 45, 4 4 0
54.31, 1.689, 19, 6 2 0
57.19, 1.611, 11, 6 2 2
65.37, 1.428, 15, 6 4 2
75.51, 1.259, 41, 6 6 0
77.35, 1.234, 15, 5 5 5
89.98, 1.090, 23, 8 4 4